(1)
Diffraction record for La8Ni2Hg. The X-ray powder pattern is computed, not measured: it uses a structure optimized by DFT (GGA-PBE) and Cu Kα X-rays.

Atomic structure:
Lattice parameters (Å, degrees): 8.250 8.250 5.811 98.50 98.50 116.87
Fractional positions:
La (0.000, 0.000, 0.000)
La (0.201, 0.201, 0.612)
La (0.261, 0.509, 0.242)
La (0.356, 0.841, 0.805)
La (0.509, 0.261, 0.242)
La (0.691, 0.938, 0.368)
La (0.841, 0.356, 0.805)
La (0.938, 0.691, 0.368)
Ni (0.314, 0.887, 0.307)
Ni (0.887, 0.314, 0.307)
Hg (0.601, 0.601, 0.805)

Main lines, sorted by position (10 to 90 degrees two-theta):
2θ 22.84, I = 24; 2θ 30.06, I = 100; 2θ 30.30, I = 68; 2θ 31.49, I = 56; 2θ 32.11, I = 26; 2θ 32.49, I = 61; 2θ 33.43, I = 98; 2θ 36.04, I = 30; 2θ 51.44, I = 31; 2θ 57.93, I = 27

---

(2)
Diffraction record for LaNiHg. The X-ray powder pattern is computed, not measured: it uses a structure optimized by DFT (GGA-PBE) and Cu Kα X-rays.

Atomic structure:
Lattice parameters (Å, degrees): 8.799 8.799 4.092 90.00 90.00 153.95
Fractional positions:
La (0.097, 0.903, 0.750)
La (0.903, 0.097, 0.250)
Ni (0.460, 0.540, 0.750)
Ni (0.540, 0.460, 0.250)
Hg (0.296, 0.704, 0.750)
Hg (0.704, 0.296, 0.250)

Main lines, sorted by position (10 to 90 degrees two-theta):
2θ 10.32, I = 13; 2θ 30.20, I = 33; 2θ 31.85, I = 100; 2θ 34.58, I = 62; 2θ 38.42, I = 40; 2θ 44.27, I = 20; 2θ 45.76, I = 18; 2θ 57.36, I = 29; 2θ 58.28, I = 12; 2θ 61.24, I = 20

---

(3)
Diffraction record for La2NiHg3. The X-ray powder pattern is computed, not measured: it uses a structure optimized by DFT (GGA-PBE) and Cu Kα X-rays.

Atomic structure:
Lattice parameters (Å, degrees): 3.716 4.893 8.445 90.00 90.00 90.00
Fractional positions:
La (0.000, 0.000, 0.000)
La (0.000, 0.500, 0.444)
Ni (0.500, 0.000, 0.277)
Hg (0.500, 0.000, 0.602)
Hg (0.500, 0.500, 0.139)
Hg (0.500, 0.500, 0.793)

Main lines, sorted by position (10 to 90 degrees two-theta):
2θ 23.95, I = 14; 2θ 27.91, I = 11; 2θ 32.06, I = 100; 2θ 36.73, I = 28; 2θ 36.84, I = 47; 2θ 44.39, I = 20; 2θ 49.03, I = 12; 2θ 49.56, I = 18; 2θ 62.85, I = 32; 2θ 63.37, I = 12